This entry pairs a crystal structure of SiAs3 with its computed X-ray powder pattern. Radiation: Cu Kα. Structure: a DFT-relaxed cell (PBE, the Materials Project).

Largest 10 diffraction maxima, sorted by position, 15 to 90 degrees two-theta:
| Position (°2θ) | I/Imax |
| --- | --- |
| 25.1 | 10 |
| 32.7 | 37 |
| 37.7 | 100 |
| 48.6 | 24 |
| 59.8 | 25 |
| 61.8 | 23 |
| 71.2 | 8 |
| 80.6 | 11 |
| 83.5 | 20 |
| 88.5 | 9 |

Cell and atoms:
```
SiAs3
1.0
-1.873 1.873 5.472
1.873 -1.873 5.472
1.873 1.873 -5.472
Si As
1 3
Direct
0.000 0.000 0.000
0.250 0.750 0.500
0.500 0.500 0.000
0.750 0.250 0.500
```